Starting from a DFT-relaxed cell (GGA-PBE, Alexandria), the PXRD pattern of Sc2FeB2RuRh4 was simulated for Cu Kα, 1.54184 Å.

Top 6 peaks for 5 to 70 degrees two-theta, by angle:
(0 0 1), 2θ = 29.43°, intensity 45
(2 1 1), 2θ = 36.57°, intensity 47
(4 1 0), 2θ = 39.70°, intensity 73
(3 1 1), 2θ = 42.67°, intensity 100
(4 2 0), 2θ = 43.22°, intensity 44
(3 2 1), 2θ = 46.01°, intensity 46

Atomic structure:
Unit cell a=9.3603 b=9.3603 c=3.0350 alpha=90.00 beta=90.00 gamma=90.00
Positions (direct):
Sc1 0.1737 0.3263 0.0000
Sc2 0.3263 0.8263 0.0000
Sc3 0.6737 0.1737 0.0000
Sc4 0.8263 0.6737 0.0000
Fe1 0.0000 0.0000 0.0000
Fe2 0.5000 0.5000 0.0000
B1 0.1232 0.6232 0.0000
B2 0.3768 0.1232 0.0000
B3 0.6232 0.8768 0.0000
B4 0.8768 0.3768 0.0000
Ru1 0.0000 0.5000 0.5000
Ru2 0.5000 0.0000 0.5000
Rh1 0.0722 0.7859 0.5000
Rh2 0.2141 0.0722 0.5000
Rh3 0.2859 0.5722 0.5000
Rh4 0.4278 0.2859 0.5000
Rh5 0.5722 0.7141 0.5000
Rh6 0.7141 0.4278 0.5000
Rh7 0.7859 0.9278 0.5000
Rh8 0.9278 0.2141 0.5000

---

Starting from a DFT-relaxed cell (GGA-PBE, Alexandria), the PXRD pattern of SrSiCl was simulated for Cu Kα, 1.54184 Å.

Top 6 peaks for 5 to 70 degrees two-theta, by angle:
(0 0 1), 2θ = 7.67°, intensity 31
(0 0 2), 2θ = 15.37°, intensity 32
(2 0 -1), 2θ = 24.81°, intensity 40
(2 0 -3), 2θ = 30.68°, intensity 100
(1 1 -3), 2θ = 32.35°, intensity 19
(0 2 0), 2θ = 43.44°, intensity 40

Atomic structure:
Unit cell a=7.2202 b=4.1642 c=11.7701 alpha=90.00 beta=101.57 gamma=90.00
Positions (direct):
Sr1 0.0703 0.0000 0.2137
Sr2 0.4297 0.5000 0.7863
Sr3 0.5703 0.5000 0.2137
Sr4 0.9297 0.0000 0.7863
Si1 0.1578 0.5000 0.9732
Si2 0.3422 0.0000 0.0268
Si3 0.6578 0.0000 0.9732
Si4 0.8422 0.5000 0.0268
Cl1 0.2189 0.0000 0.6517
Cl2 0.2811 0.5000 0.3483
Cl3 0.7189 0.5000 0.6517
Cl4 0.7811 0.0000 0.3483

---

Starting from a DFT-relaxed cell (GGA-PBE, Alexandria), the PXRD pattern of Ac6Ni2PdRh was simulated for Cu Kα, 1.54184 Å.

Top 6 peaks for 5 to 70 degrees two-theta, by angle:
(0 0 2), 2θ = 26.19°, intensity 14
(2 -1 0), 2θ = 27.28°, intensity 100
(1 1 1), 2θ = 35.73°, intensity 37
(3 0 -2), 2θ = 41.98°, intensity 33
(2 -1 2), 2θ = 46.88°, intensity 24
(2 2 -1), 2θ = 50.79°, intensity 18

Atomic structure:
Unit cell a=7.4513 b=7.4519 c=8.0503 alpha=90.07 beta=117.53 gamma=119.91
Positions (direct):
Ac1 0.0000 0.0000 0.0000
Ac2 0.0038 0.2004 0.5095
Ac3 0.3583 0.8681 0.5092
Ac4 0.3619 0.7101 0.0008
Ac5 0.6523 0.3612 0.0002
Ac6 0.6714 0.5136 0.5093
Ni1 0.8625 0.7859 0.2865
Ni2 0.8666 0.2883 0.7923
Pd1 0.1529 0.4312 0.2223
Rh1 0.1570 0.9332 0.7285

---

Starting from a DFT-relaxed cell (GGA-PBE, Alexandria), the PXRD pattern of TlTc was simulated for Cu Kα, 1.54184 Å.

Top 6 peaks for 5 to 70 degrees two-theta, by angle:
(1 0 -1), 2θ = 29.69°, intensity 54
(0 0 3), 2θ = 30.84°, intensity 86
(0 1 2), 2θ = 35.78°, intensity 100
(1 0 2), 2θ = 39.10°, intensity 46
(1 0 -3), 2θ = 39.35°, intensity 43
(1 1 0), 2θ = 42.04°, intensity 78

Atomic structure:
Unit cell a=3.0554 b=3.0708 c=8.8306 alpha=90.00 beta=99.62 gamma=90.00
Positions (direct):
Tl1 0.0921 0.2500 0.1691
Tl2 0.9079 0.7500 0.8309
Tc1 0.2879 0.2500 0.5788
Tc2 0.7121 0.7500 0.4212

---

Starting from a DFT-relaxed cell (GGA-PBE, Alexandria), the PXRD pattern of Sm3DyHo7 was simulated for Cu Kα, 1.54184 Å.

Top 6 peaks for 5 to 70 degrees two-theta, by angle:
(0 0 1), 2θ = 10.26°, intensity 5
(0 2 1), 2θ = 31.12°, intensity 100
(2 0 2), 2θ = 36.09°, intensity 51
(2 2 0), 2θ = 51.97°, intensity 36
(4 0 1), 2θ = 61.83°, intensity 43
(0 4 2), 2θ = 64.90°, intensity 12

Atomic structure:
Unit cell a=7.0381 b=7.0381 c=8.6216 alpha=90.00 beta=90.00 gamma=120.00
Positions (direct):
Sm1 0.9999 0.5000 0.0000
Sm2 0.5000 0.0001 0.0000
Sm3 0.5000 0.5000 0.0000
Dy1 0.3333 0.6667 0.6620
Ho1 0.1676 0.3352 0.3366
Ho2 0.1676 0.8324 0.3366
Ho3 0.3352 0.1676 0.6630
Ho4 0.6648 0.8324 0.3366
Ho5 0.6667 0.3333 0.3378
Ho6 0.8324 0.1676 0.6630
Ho7 0.8324 0.6648 0.6630

---

Starting from a DFT-relaxed cell (GGA-PBE, Alexandria), the PXRD pattern of MnZnMo was simulated for Cu Kα, 1.54184 Å.

Top 6 peaks for 5 to 70 degrees two-theta, by angle:
(0 0 5), 2θ = 38.57°, intensity 7
(1 1 3), 2θ = 41.23°, intensity 100
(0 0 6), 2θ = 46.69°, intensity 12
(0 2 0), 2θ = 47.40°, intensity 18
(2 0 0), 2θ = 49.80°, intensity 16
(0 2 6), 2θ = 68.73°, intensity 7

Atomic structure:
Unit cell a=3.6621 b=3.8356 c=11.6723 alpha=90.00 beta=90.00 gamma=90.00
Positions (direct):
Mn1 0.0000 0.2500 0.0588
Mn2 0.0000 0.7500 0.9412
Mn3 0.5000 0.2500 0.9412
Mn4 0.5000 0.7500 0.0588
Zn1 0.0000 0.2500 0.4134
Zn2 0.0000 0.7500 0.5866
Zn3 0.5000 0.2500 0.5866
Zn4 0.5000 0.7500 0.4134
Mo1 0.0000 0.2500 0.7674
Mo2 0.0000 0.7500 0.2326
Mo3 0.5000 0.2500 0.2326
Mo4 0.5000 0.7500 0.7674